1.
Diffraction record for PuCd10Au2. The XRD peak list is calculated, not measured: it uses a DFT-relaxed cell (PBE, Alexandria) and Cu Kα (λ = 1.5418 Å).
Lines closer than 0.1° are merged.

Crystal structure
Lattice parameters (Å, degrees): 10.093 7.733 7.637 82.09 49.37 48.54
Fractional coordinates of all 13 atoms:
Pu1 0.000 0.000 0.000
Cd1 0.000 0.500 0.000
Cd2 0.008 0.651 0.349
Cd3 0.290 0.504 0.496
Cd4 0.349 0.992 0.008
Cd5 0.496 0.710 0.290
Cd6 0.500 0.000 0.500
Cd7 0.504 0.290 0.710
Cd8 0.651 0.008 0.992
Cd9 0.710 0.496 0.504
Cd10 0.992 0.349 0.651
Au1 0.000 0.000 0.500
Au2 0.500 0.500 0.000

Main lines, by angle (2θ from 10° to 80°):
2theta	I (rel.)
30.86	42
35.57	100
35.94	44
36.20	80
40.20	18
40.39	26
40.63	22
64.33	37


2.
Diffraction record for Ag8Hg2Au3. The XRD peak list is calculated, not measured: it uses a DFT-relaxed cell (PBE, Alexandria) and Cu Kα (λ = 1.5418 Å).
Lines closer than 0.1° are merged.

Crystal structure
Lattice parameters (Å, degrees): 10.796 10.796 10.796 29.26 29.26 29.26
Fractional coordinates of all 13 atoms:
Ag1 0.225 0.225 0.726
Ag2 0.225 0.726 0.225
Ag3 0.227 0.227 0.227
Ag4 0.274 0.775 0.775
Ag5 0.726 0.225 0.225
Ag6 0.773 0.773 0.773
Ag7 0.775 0.274 0.775
Ag8 0.775 0.775 0.274
Hg1 0.138 0.138 0.138
Hg2 0.862 0.862 0.862
Au1 0.315 0.315 0.315
Au2 0.500 0.500 0.500
Au3 0.685 0.685 0.685

Main lines, by angle (2θ from 10° to 80°):
2theta	I (rel.)
23.69	22
32.85	67
37.17	100
37.30	45
38.57	43
40.90	39
61.52	56
68.87	28


3.
Diffraction record for PmEr6Tm8. The XRD peak list is calculated, not measured: it uses a DFT-relaxed cell (PBE, Alexandria) and Cu Kα (λ = 1.5418 Å).
Lines closer than 0.1° are merged.

Crystal structure
Lattice parameters (Å, degrees): 9.321 9.321 6.395 90.00 90.00 120.00
Fractional coordinates of all 15 atoms:
Pm1 0.000 0.000 0.000
Er1 0.101 0.419 0.912
Er2 0.318 0.899 0.912
Er3 0.419 0.318 0.088
Er4 0.581 0.682 0.912
Er5 0.682 0.101 0.088
Er6 0.899 0.581 0.088
Tm1 0.025 0.686 0.592
Tm2 0.314 0.339 0.592
Tm3 0.333 0.667 0.337
Tm4 0.339 0.025 0.408
Tm5 0.661 0.975 0.592
Tm6 0.667 0.333 0.663
Tm7 0.686 0.661 0.408
Tm8 0.975 0.314 0.408

Main lines, by angle (2θ from 10° to 80°):
2theta	I (rel.)
26.11	38
30.06	19
32.52	100
33.30	71
34.00	96
36.22	19
51.37	23
54.00	20


4.
Diffraction record for Li7AgAu3. The XRD peak list is calculated, not measured: it uses a DFT-relaxed cell (PBE, Alexandria) and Cu Kα (λ = 1.5418 Å).
Lines closer than 0.1° are merged.

Crystal structure
Lattice parameters (Å, degrees): 10.808 10.808 12.228 90.00 90.00 164.71
Fractional coordinates of all 22 atoms:
Li1 0.057 0.943 0.628
Li2 0.057 0.943 0.872
Li3 0.093 0.907 0.099
Li4 0.093 0.907 0.401
Li5 0.184 0.816 0.750
Li6 0.222 0.778 0.096
Li7 0.222 0.778 0.404
Li8 0.778 0.222 0.596
Li9 0.778 0.222 0.904
Li10 0.816 0.184 0.250
Li11 0.907 0.093 0.599
Li12 0.907 0.093 0.901
Li13 0.943 0.057 0.128
Li14 0.943 0.057 0.372
Ag1 0.474 0.526 0.750
Ag2 0.526 0.474 0.250
Au1 0.335 0.665 0.750
Au2 0.344 0.656 0.059
Au3 0.344 0.656 0.441
Au4 0.656 0.344 0.559
Au5 0.656 0.344 0.941
Au6 0.665 0.335 0.250

Main lines, by angle (2θ from 10° to 80°):
2theta	I (rel.)
16.55	35
23.35	100
24.94	57
31.38	30
33.59	34
38.54	51
40.30	39
43.94	28


5.
Diffraction record for V10Si6B. The XRD peak list is calculated, not measured: it uses a DFT-relaxed cell (PBE, Alexandria) and Cu Kα (λ = 1.5418 Å).
Lines closer than 0.1° are merged.

Crystal structure
Lattice parameters (Å, degrees): 7.142 7.142 4.846 90.00 90.00 120.00
Fractional coordinates of all 17 atoms:
V1 0.000 0.244 0.253
V2 0.000 0.756 0.747
V3 0.244 0.000 0.253
V4 0.244 0.244 0.747
V5 0.333 0.667 0.000
V6 0.333 0.667 0.500
V7 0.667 0.333 0.000
V8 0.667 0.333 0.500
V9 0.756 0.000 0.747
V10 0.756 0.756 0.253
Si1 0.000 0.398 0.747
Si2 0.000 0.602 0.253
Si3 0.398 0.000 0.747
Si4 0.398 0.398 0.253
Si5 0.602 0.000 0.253
Si6 0.602 0.602 0.747
B1 0.000 0.000 0.000

Main lines, by angle (2θ from 10° to 80°):
2theta	I (rel.)
38.51	39
39.96	22
42.95	100
43.91	43
45.22	76
64.86	17
70.91	20
72.51	14


6.
Diffraction record for NaTi2As3O12. The XRD peak list is calculated, not measured: it uses a DFT-relaxed cell (PBE, Alexandria) and Cu Kα (λ = 1.5418 Å).
Lines closer than 0.1° are merged.

Crystal structure
Lattice parameters (Å, degrees): 9.144 9.144 9.144 58.99 58.99 58.99
Fractional coordinates of all 36 atoms:
Na1 0.000 0.000 0.000
Na2 0.500 0.500 0.500
Ti1 0.143 0.143 0.143
Ti2 0.357 0.357 0.357
Ti3 0.643 0.643 0.643
Ti4 0.857 0.857 0.857
As1 0.037 0.750 0.463
As2 0.250 0.537 0.963
As3 0.463 0.037 0.750
As4 0.537 0.963 0.250
As5 0.750 0.463 0.037
As6 0.963 0.250 0.537
O1 0.002 0.790 0.644
O2 0.057 0.931 0.267
O3 0.069 0.733 0.943
O4 0.144 0.290 0.502
O5 0.210 0.356 0.998
O6 0.233 0.569 0.443
O7 0.267 0.057 0.931
O8 0.290 0.502 0.144
O9 0.356 0.998 0.210
O10 0.431 0.557 0.767
O11 0.443 0.233 0.569
O12 0.498 0.856 0.710
O13 0.502 0.144 0.290
O14 0.557 0.767 0.431
O15 0.569 0.443 0.233
O16 0.644 0.002 0.790
O17 0.710 0.498 0.856
O18 0.733 0.943 0.069
O19 0.767 0.431 0.557
O20 0.790 0.644 0.002
O21 0.856 0.710 0.498
O22 0.931 0.267 0.057
O23 0.943 0.069 0.733
O24 0.998 0.210 0.356

Main lines, by angle (2θ from 10° to 80°):
2theta	I (rel.)
23.02	100
23.65	10
27.81	14
30.59	16
30.98	29
34.51	17
41.21	13
47.05	9